# 1
Diffraction record for Ca4CdIn3. The powder X-ray diffraction pattern is theoretical, not measured: it uses a crystal structure in Alexandria, relaxed with GGA-PBE and Cu Kα X-rays.
Neutral-atom scattering factors, no anomalous dispersion.

Cell and atoms:
```
data_Ca4CdIn3
_cell_length_a 8.624
_cell_length_b 8.624
_cell_length_c 8.624
_cell_angle_alpha 143.20
_cell_angle_beta 143.20
_cell_angle_gamma 53.03
_symmetry_space_group_name_H-M 'P 1'
_symmetry_Int_Tables_number 1
_symmetry_space_group_name_Hall 'P 1'
loop_
_atom_site_label
_atom_site_type_symbol
_atom_site_fract_x
_atom_site_fract_y
_atom_site_fract_z
Ca1 Ca 0.124 0.624 0.500
Ca2 Ca 0.376 0.876 0.500
Ca3 Ca 0.624 0.124 0.500
Ca4 Ca 0.876 0.376 0.500
Cd1 Cd 0.000 0.000 0.000
In1 In 0.250 0.250 0.000
In2 In 0.500 0.500 0.000
In3 In 0.750 0.750 0.000
```

Most intense lines, 5 to 70 degrees two-theta, low angle first:
2theta  I (rel.)
23.1  26
32.9  100
40.6  8
47.1  6
47.2  12
53.1  7
53.2  4
58.7  35
68.9  11

# 2
Diffraction record for CaCd10In2. The powder X-ray diffraction pattern is theoretical, not measured: it uses a crystal structure in Alexandria, relaxed with GGA-PBE and Cu Kα X-rays.
Neutral-atom scattering factors, no anomalous dispersion.

Cell and atoms:
```
data_CaCd10In2
_cell_length_a 6.115
_cell_length_b 7.730
_cell_length_c 7.820
_cell_angle_alpha 81.86
_cell_angle_beta 67.11
_cell_angle_gamma 68.44
_symmetry_space_group_name_H-M 'P 1'
_symmetry_Int_Tables_number 1
_symmetry_space_group_name_Hall 'P 1'
loop_
_atom_site_label
_atom_site_type_symbol
_atom_site_fract_x
_atom_site_fract_y
_atom_site_fract_z
Ca1 Ca 0.000 0.000 0.000
Cd1 Cd 0.000 0.500 0.000
Cd2 Cd 0.009 0.639 0.350
Cd3 Cd 0.281 0.214 0.207
Cd4 Cd 0.363 0.639 0.651
Cd5 Cd 0.491 0.214 0.792
Cd6 Cd 0.500 0.500 0.000
Cd7 Cd 0.509 0.786 0.208
Cd8 Cd 0.637 0.361 0.349
Cd9 Cd 0.719 0.786 0.793
Cd10 Cd 0.991 0.361 0.650
In1 In 0.000 0.000 0.500
In2 In 0.500 0.000 0.500
```

Most intense lines, 5 to 70 degrees two-theta, low angle first:
2theta  I (rel.)
17.4  35
33.9  72
34.6  66
34.6  44
35.1  40
35.3  100
35.4  41
38.1  41
38.6  91
39.3  40
39.6  65
39.6  69

# 3
Diffraction record for Ca2Cd8In. The powder X-ray diffraction pattern is theoretical, not measured: it uses a crystal structure in Alexandria, relaxed with GGA-PBE and Cu Kα X-rays.
Neutral-atom scattering factors, no anomalous dispersion.

Cell and atoms:
```
data_Ca2Cd8In
_cell_length_a 5.179
_cell_length_b 7.243
_cell_length_c 7.516
_cell_angle_alpha 80.35
_cell_angle_beta 85.09
_cell_angle_gamma 87.55
_symmetry_space_group_name_H-M 'P 1'
_symmetry_Int_Tables_number 1
_symmetry_space_group_name_Hall 'P 1'
loop_
_atom_site_label
_atom_site_type_symbol
_atom_site_fract_x
_atom_site_fract_y
_atom_site_fract_z
Ca1 Ca 0.221 0.210 0.193
Ca2 Ca 0.779 0.790 0.807
Cd1 Cd 0.238 0.745 0.113
Cd2 Cd 0.265 0.090 0.780
Cd3 Cd 0.287 0.845 0.503
Cd4 Cd 0.301 0.508 0.816
Cd5 Cd 0.699 0.492 0.184
Cd6 Cd 0.713 0.155 0.497
Cd7 Cd 0.735 0.910 0.220
Cd8 Cd 0.762 0.255 0.887
In1 In 0.000 0.500 0.500
```

Most intense lines, 5 to 70 degrees two-theta, low angle first:
2theta  I (rel.)
18.7  24
21.5  27
32.0  23
33.1  44
34.3  36
34.5  78
34.8  63
35.1  100
36.5  58
37.8  76
39.2  23
58.2  22

# 4
Diffraction record for CaLaCdInNiS. The powder X-ray diffraction pattern is theoretical, not measured: it uses a crystal structure in Alexandria, relaxed with GGA-PBE and Cu Kα X-rays.
Neutral-atom scattering factors, no anomalous dispersion.

Cell and atoms:
```
data_CaLaCdInNiS
_cell_length_a 5.048
_cell_length_b 4.272
_cell_length_c 7.655
_cell_angle_alpha 90.00
_cell_angle_beta 99.00
_cell_angle_gamma 90.00
_symmetry_space_group_name_H-M 'P 1'
_symmetry_Int_Tables_number 1
_symmetry_space_group_name_Hall 'P 1'
loop_
_atom_site_label
_atom_site_type_symbol
_atom_site_fract_x
_atom_site_fract_y
_atom_site_fract_z
Ca1 Ca 0.000 0.000 0.000
La1 La 0.416 0.500 0.606
Cd1 Cd 0.507 0.500 0.172
In1 In 0.875 0.000 0.406
Ni1 Ni 0.362 0.000 0.360
S1 S 0.957 0.500 0.771
```

Most intense lines, 5 to 70 degrees two-theta, low angle first:
2theta  I (rel.)
11.7  88
23.9  24
27.3  38
27.5  73
31.1  20
31.6  100
34.6  30
36.0  31
41.6  27
42.3  33
45.6  35
56.8  21

# 5
Diffraction record for CaLaCdInNiS. The powder X-ray diffraction pattern is theoretical, not measured: it uses a crystal structure in Alexandria, relaxed with GGA-PBE and Cu Kα X-rays.
Neutral-atom scattering factors, no anomalous dispersion.

Cell and atoms:
```
data_CaLaCdInNiS
_cell_length_a 3.857
_cell_length_b 9.781
_cell_length_c 9.781
_cell_angle_alpha 22.80
_cell_angle_beta 90.00
_cell_angle_gamma 90.00
_symmetry_space_group_name_H-M 'P 1'
_symmetry_Int_Tables_number 1
_symmetry_space_group_name_Hall 'P 1'
loop_
_atom_site_label
_atom_site_type_symbol
_atom_site_fract_x
_atom_site_fract_y
_atom_site_fract_z
Ca1 Ca 0.000 0.000 0.000
La1 La 0.500 0.817 0.817
Cd1 Cd 0.500 0.621 0.621
In1 In 0.000 0.206 0.206
Ni1 Ni 0.000 0.369 0.369
S1 S 0.500 0.435 0.435
```

Most intense lines, 5 to 70 degrees two-theta, low angle first:
2theta  I (rel.)
9.2  53
29.7  35
32.9  75
33.1  100
36.5  45
40.6  18
47.0  20
47.1  18
56.6  11
58.7  27
60.9  19
68.7  11

# 6
Diffraction record for LiCa2Cd2In5. The powder X-ray diffraction pattern is theoretical, not measured: it uses a crystal structure in Alexandria, relaxed with GGA-PBE and Cu Kα X-rays.
Neutral-atom scattering factors, no anomalous dispersion.

Cell and atoms:
```
data_LiCa2Cd2In5
_cell_length_a 10.726
_cell_length_b 10.726
_cell_length_c 4.476
_cell_angle_alpha 90.00
_cell_angle_beta 90.00
_cell_angle_gamma 90.00
_symmetry_space_group_name_H-M 'P 1'
_symmetry_Int_Tables_number 1
_symmetry_space_group_name_Hall 'P 1'
loop_
_atom_site_label
_atom_site_type_symbol
_atom_site_fract_x
_atom_site_fract_y
_atom_site_fract_z
Li1 Li 0.000 0.000 0.000
Li2 Li 0.500 0.500 0.000
Ca1 Ca 0.173 0.327 0.000
Ca2 Ca 0.327 0.827 0.000
Ca3 Ca 0.673 0.173 0.000
Ca4 Ca 0.827 0.673 0.000
Cd1 Cd 0.127 0.627 0.000
Cd2 Cd 0.373 0.127 0.000
Cd3 Cd 0.627 0.873 0.000
Cd4 Cd 0.873 0.373 0.000
In1 In 0.000 0.500 0.500
In2 In 0.060 0.806 0.500
In3 In 0.194 0.060 0.500
In4 In 0.306 0.560 0.500
In5 In 0.440 0.306 0.500
In6 In 0.500 0.000 0.500
In7 In 0.560 0.694 0.500
In8 In 0.694 0.440 0.500
In9 In 0.806 0.940 0.500
In10 In 0.940 0.194 0.500
```

Most intense lines, 5 to 70 degrees two-theta, low angle first:
2theta  I (rel.)
18.5  43
19.8  16
23.1  17
33.1  100
34.5  32
35.5  27
36.3  61
39.2  31
40.1  18
40.3  32
54.1  22
54.8  16

# 7
Diffraction record for NaCaCdIn. The powder X-ray diffraction pattern is theoretical, not measured: it uses a crystal structure in Alexandria, relaxed with GGA-PBE and Cu Kα X-rays.
Neutral-atom scattering factors, no anomalous dispersion.

Cell and atoms:
```
data_NaCaCdIn
_cell_length_a 5.383
_cell_length_b 5.383
_cell_length_c 5.340
_cell_angle_alpha 119.64
_cell_angle_beta 119.64
_cell_angle_gamma 59.46
_symmetry_space_group_name_H-M 'P 1'
_symmetry_Int_Tables_number 1
_symmetry_space_group_name_Hall 'P 1'
loop_
_atom_site_label
_atom_site_type_symbol
_atom_site_fract_x
_atom_site_fract_y
_atom_site_fract_z
Na1 Na 0.000 0.000 0.000
Ca1 Ca 0.500 0.500 0.500
Cd1 Cd 0.250 0.250 0.750
In1 In 0.750 0.750 0.250
```

Most intense lines, 5 to 70 degrees two-theta, low angle first:
2theta  I (rel.)
23.1  19
23.6  36
33.3  100
33.6  49
41.2  17
47.3  9
48.2  17
53.5  8
54.1  8
54.3  7
59.2  13
59.8  34

# 8
Diffraction record for CaCdInPb. The powder X-ray diffraction pattern is theoretical, not measured: it uses a crystal structure in Alexandria, relaxed with GGA-PBE and Cu Kα X-rays.
Neutral-atom scattering factors, no anomalous dispersion.

Cell and atoms:
```
data_CaCdInPb
_cell_length_a 4.607
_cell_length_b 4.712
_cell_length_c 4.975
_cell_angle_alpha 90.00
_cell_angle_beta 90.00
_cell_angle_gamma 90.00
_symmetry_space_group_name_H-M 'P 1'
_symmetry_Int_Tables_number 1
_symmetry_space_group_name_Hall 'P 1'
loop_
_atom_site_label
_atom_site_type_symbol
_atom_site_fract_x
_atom_site_fract_y
_atom_site_fract_z
Ca1 Ca 0.000 0.000 0.000
Cd1 Cd 0.000 0.500 0.500
In1 In 0.500 0.000 0.500
Pb1 Pb 0.500 0.500 0.000
```

Most intense lines, 5 to 70 degrees two-theta, low angle first:
2theta  I (rel.)
26.0  10
32.6  100
36.1  19
38.2  16
39.1  15
53.6  12
54.3  12
55.8  11
62.7  15
65.5  13
66.8  12
68.3  11

# 9
Diffraction record for K3CaCd8. The powder X-ray diffraction pattern is theoretical, not measured: it uses a crystal structure in Alexandria, relaxed with GGA-PBE and Cu Kα X-rays.
Neutral-atom scattering factors, no anomalous dispersion.

Cell and atoms:
```
data_K3CaCd8
_cell_length_a 6.281
_cell_length_b 6.281
_cell_length_c 10.141
_cell_angle_alpha 90.00
_cell_angle_beta 90.00
_cell_angle_gamma 120.00
_symmetry_space_group_name_H-M 'P 1'
_symmetry_Int_Tables_number 1
_symmetry_space_group_name_Hall 'P 1'
loop_
_atom_site_label
_atom_site_type_symbol
_atom_site_fract_x
_atom_site_fract_y
_atom_site_fract_z
K1 K 0.000 0.000 0.000
K2 K 0.000 0.000 0.378
K3 K 0.333 0.667 0.883
Ca1 Ca 0.333 0.667 0.505
Cd1 Cd 0.007 0.503 0.201
Cd2 Cd 0.328 0.164 0.684
Cd3 Cd 0.497 0.503 0.201
Cd4 Cd 0.497 0.993 0.201
Cd5 Cd 0.667 0.333 0.443
Cd6 Cd 0.667 0.333 0.945
Cd7 Cd 0.836 0.164 0.684
Cd8 Cd 0.836 0.672 0.684
```

Most intense lines, 5 to 70 degrees two-theta, low angle first:
2theta  I (rel.)
16.3  43
17.5  23
18.5  25
31.2  34
33.6  83
34.1  100
35.4  30
37.5  49
42.7  27
53.7  20
56.6  26
58.8  27

# 10
Diffraction record for K2CaCd16. The powder X-ray diffraction pattern is theoretical, not measured: it uses a crystal structure in Alexandria, relaxed with GGA-PBE and Cu Kα X-rays.
Neutral-atom scattering factors, no anomalous dispersion.

Cell and atoms:
```
data_K2CaCd16
_cell_length_a 7.932
_cell_length_b 7.932
_cell_length_c 7.932
_cell_angle_alpha 83.04
_cell_angle_beta 83.04
_cell_angle_gamma 83.04
_symmetry_space_group_name_H-M 'P 1'
_symmetry_Int_Tables_number 1
_symmetry_space_group_name_Hall 'P 1'
loop_
_atom_site_label
_atom_site_type_symbol
_atom_site_fract_x
_atom_site_fract_y
_atom_site_fract_z
K1 K 0.000 0.000 0.000
K2 K 0.304 0.304 0.304
Ca1 Ca 0.734 0.734 0.734
Cd1 Cd 0.007 0.007 0.509
Cd2 Cd 0.007 0.509 0.007
Cd3 Cd 0.159 0.660 0.660
Cd4 Cd 0.306 0.306 0.816
Cd5 Cd 0.306 0.816 0.306
Cd6 Cd 0.355 0.657 0.962
Cd7 Cd 0.355 0.962 0.657
Cd8 Cd 0.509 0.007 0.007
Cd9 Cd 0.524 0.524 0.524
Cd10 Cd 0.657 0.355 0.962
Cd11 Cd 0.657 0.962 0.355
Cd12 Cd 0.660 0.159 0.660
Cd13 Cd 0.660 0.660 0.159
Cd14 Cd 0.816 0.306 0.306
Cd15 Cd 0.962 0.355 0.657
Cd16 Cd 0.962 0.657 0.355
```

Most intense lines, 5 to 70 degrees two-theta, low angle first:
2theta  I (rel.)
16.9  42
29.4  16
30.5  15
34.1  37
34.4  70
35.2  35
38.5  100
39.2  18
49.8  15
55.4  12
61.0  20
65.3  12

# 11
Diffraction record for Ca2LaCd6. The powder X-ray diffraction pattern is theoretical, not measured: it uses a crystal structure in Alexandria, relaxed with GGA-PBE and Cu Kα X-rays.
Neutral-atom scattering factors, no anomalous dispersion.

Cell and atoms:
```
data_Ca2LaCd6
_cell_length_a 8.788
_cell_length_b 8.788
_cell_length_c 3.582
_cell_angle_alpha 90.00
_cell_angle_beta 90.00
_cell_angle_gamma 120.00
_symmetry_space_group_name_H-M 'P 1'
_symmetry_Int_Tables_number 1
_symmetry_space_group_name_Hall 'P 1'
loop_
_atom_site_label
_atom_site_type_symbol
_atom_site_fract_x
_atom_site_fract_y
_atom_site_fract_z
Ca1 Ca 0.333 0.667 0.000
Ca2 Ca 0.667 0.333 0.000
La1 La 0.000 0.000 0.000
Cd1 Cd 0.000 0.336 0.500
Cd2 Cd 0.000 0.664 0.500
Cd3 Cd 0.336 0.000 0.500
Cd4 Cd 0.336 0.336 0.500
Cd5 Cd 0.664 0.000 0.500
Cd6 Cd 0.664 0.664 0.500
```

Most intense lines, 5 to 70 degrees two-theta, low angle first:
2theta  I (rel.)
11.6  12
20.2  7
24.9  22
27.5  5
32.2  100
35.4  100
43.7  29
48.6  30
51.0  11
61.5  29
63.6  51
69.3  7

# 12
Diffraction record for CaLaCd5. The powder X-ray diffraction pattern is theoretical, not measured: it uses a crystal structure in Alexandria, relaxed with GGA-PBE and Cu Kα X-rays.
Neutral-atom scattering factors, no anomalous dispersion.

Cell and atoms:
```
data_CaLaCd5
_cell_length_a 4.700
_cell_length_b 4.700
_cell_length_c 9.313
_cell_angle_alpha 90.00
_cell_angle_beta 90.00
_cell_angle_gamma 90.00
_symmetry_space_group_name_H-M 'P 1'
_symmetry_Int_Tables_number 1
_symmetry_space_group_name_Hall 'P 1'
loop_
_atom_site_label
_atom_site_type_symbol
_atom_site_fract_x
_atom_site_fract_y
_atom_site_fract_z
Ca1 Ca 0.000 0.000 0.000
La1 La 0.500 0.500 0.500
Cd1 Cd 0.000 0.000 0.500
Cd2 Cd 0.000 0.500 0.246
Cd3 Cd 0.000 0.500 0.754
Cd4 Cd 0.500 0.000 0.246
Cd5 Cd 0.500 0.000 0.754
```

Most intense lines, 5 to 70 degrees two-theta, low angle first:
2theta  I (rel.)
9.5  30
19.1  5
28.5  13
33.1  100
38.3  33
38.7  16
39.6  4
55.3  11
55.6  22
66.0  25
66.5  12
69.5  11

# 13
Diffraction record for CaLaCdNi. The powder X-ray diffraction pattern is theoretical, not measured: it uses a crystal structure in Alexandria, relaxed with GGA-PBE and Cu Kα X-rays.
Neutral-atom scattering factors, no anomalous dispersion.

Cell and atoms:
```
data_CaLaCdNi
_cell_length_a 5.234
_cell_length_b 5.234
_cell_length_c 5.234
_cell_angle_alpha 60.00
_cell_angle_beta 60.00
_cell_angle_gamma 60.00
_symmetry_space_group_name_H-M 'P 1'
_symmetry_Int_Tables_number 1
_symmetry_space_group_name_Hall 'P 1'
loop_
_atom_site_label
_atom_site_type_symbol
_atom_site_fract_x
_atom_site_fract_y
_atom_site_fract_z
Ca1 Ca 0.000 0.000 0.000
La1 La 0.500 0.500 0.500
Cd1 Cd 0.750 0.750 0.750
Ni1 Ni 0.250 0.250 0.250
```

Most intense lines, 5 to 70 degrees two-theta, low angle first:
2theta  I (rel.)
20.8  20
34.3  100
40.4  11
49.2  17
54.0  5
61.4  35
65.5  4

# 14
Diffraction record for Ca2LaCd2Pb2. The powder X-ray diffraction pattern is theoretical, not measured: it uses a crystal structure in Alexandria, relaxed with GGA-PBE and Cu Kα X-rays.
Neutral-atom scattering factors, no anomalous dispersion.

Cell and atoms:
```
data_Ca2LaCd2Pb2
_cell_length_a 9.389
_cell_length_b 9.389
_cell_length_c 9.389
_cell_angle_alpha 31.94
_cell_angle_beta 31.94
_cell_angle_gamma 31.94
_symmetry_space_group_name_H-M 'P 1'
_symmetry_Int_Tables_number 1
_symmetry_space_group_name_Hall 'P 1'
loop_
_atom_site_label
_atom_site_type_symbol
_atom_site_fract_x
_atom_site_fract_y
_atom_site_fract_z
Ca1 Ca 0.136 0.136 0.136
Ca2 Ca 0.864 0.864 0.864
La1 La 0.000 0.000 0.000
Cd1 Cd 0.436 0.436 0.436
Cd2 Cd 0.564 0.564 0.564
Pb1 Pb 0.266 0.266 0.266
Pb2 Pb 0.734 0.734 0.734
```

Most intense lines, 5 to 70 degrees two-theta, low angle first:
2theta  I (rel.)
19.9  19
23.9  61
30.8  91
33.5  10
34.7  100
40.4  21
42.4  19
42.6  14
47.1  28
56.1  13
59.8  27
62.2  18